Y3Th5As8: simulated X-ray diffraction stick pattern (Cu Kα (λ = 1.5418 Å)), based on a cell relaxed with PBE.
Intensities are scaled so that the largest is 100.

Top 10 peaks for 2θ from 10° to 90°, most intense first:
30.03 deg, I = 100, hkl 0 2 4
42.93 deg, I = 38, hkl 2 2 0
43.05 deg, I = 38, hkl 2 0 8
25.93 deg, I = 28, hkl 0 0 6
53.27 deg, I = 20, hkl 4 0 4
78.71 deg, I = 19, hkl 6 0 0
70.72 deg, I = 17, hkl 2 4 4
70.90 deg, I = 17, hkl 2 2 12
62.42 deg, I = 13, hkl 0 4 8
50.86 deg, I = 11, hkl 2 2 6

Crystal structure
```
data_Y3Th5As8
_space_group_name_H-M_alt 'R -3 m'
_space_group_IT_number 166
_space_group_name_Hall '-R 3 2"'
_cell_length_a 8.4276
_cell_length_b 8.4276
_cell_length_c 20.5588
_cell_angle_alpha 90.00
_cell_angle_beta 90.00
_cell_angle_gamma 120.00
loop_
_atom_site_label
_atom_site_type_symbol
_atom_site_fract_x
_atom_site_fract_y
_atom_site_fract_z
Y1 Y 0.0000 0.5000 0.0000
Th1 Th 0.0000 0.0000 0.0000
Th2 Th 0.0000 0.0000 0.5000
Th3 Th 0.0000 0.5000 0.5000
As1 As 0.0000 0.0000 0.2522
As2 As 0.0034 0.5017 0.2517
```